# 1
Tb7SI12: calculated powder XRD pattern (copper Kα), based on a GGA-PBE-relaxed structure.

Atomic structure:
a b c (Å): 15.6441 15.6441 10.3464
angles (deg): 90.00 90.00 120.00
Space group R-3 (No. 148, hexagonal axes)
One atom of each set of equivalent atoms:
Tb1 0.0000 0.0000 0.0000 (multiplicity 3)
Tb2 0.0430 0.8887 0.3539 (multiplicity 18)
S1 0.0000 0.0000 0.5000 (multiplicity 3)
I1 0.0241 0.4381 0.1637 (multiplicity 18)
I2 0.0517 0.8671 0.8362 (multiplicity 18)

Principal peaks in the range 10° ≤ 2θ ≤ 90°, low angle first:
2θ (°)	I (rel.)
11.31	23
25.22	13
28.28	12
29.38	100
41.63	35
42.43	35
51.77	17
60.95	11
68.51	12
69.65	12



# 2
LiRhCl5: calculated powder XRD pattern (copper Kα), based on a GGA-PBE-relaxed structure.

Atomic structure:
a b c (Å): 12.724 6.467 8.707
angles (deg): 90.00 104.65 90.00
Space group C2/c (No. 15)
One atom of each set of equivalent atoms:
Li1 0.000 0.045 0.250 (multiplicity 4)
Rh1 0.000 0.500 0.000 (multiplicity 4)
Cl1 0.000 0.348 0.750 (multiplicity 4)
Cl2 0.105 0.206 0.477 (multiplicity 8)
Cl3 0.157 0.319 0.112 (multiplicity 8)

Principal peaks in the range 10° ≤ 2θ ≤ 90°, low angle first:
2θ (°)	I (rel.)
14.39	75
15.48	100
21.09	34
22.36	21
24.73	24
25.71	20
29.91	22
33.86	20
40.46	20
42.25	21